Entry 1:
# Al2Hg5Se8
Theoretical powder diffractogram, CuKα. Input: a cell relaxed with PBE.
No peak broadening, texture or thermal motion is included.

Most intense lines, 2θ from 10° to 80°, in order of falling intensity:
hkl 0 0 8, 2θ 25.80, d 3.453, rel. 100; hkl 2 0 2, 2θ 25.51, d 3.492, rel. 56; hkl -2 2 2, 2θ 26.02, d 3.424, rel. 50; hkl 0 2 -12, 2θ 43.23, d 2.093, rel. 40; hkl -2 2 10, 2θ 42.66, d 2.119, rel. 24; hkl 2 -4 2, 2θ 42.98, d 2.104, rel. 23; hkl 2 2 -2, 2θ 41.95, d 2.154, rel. 22; hkl 2 0 10, 2θ 42.36, d 2.134, rel. 20

Structure:
```
data_Al2Hg5Se8
_space_group_name_H-M_alt 'P 1'
_space_group_IT_number 1
_space_group_name_Hall 'P 1'
_cell_length_a 8.383
_cell_length_b 8.425
_cell_length_c 27.901
_cell_angle_alpha 97.21
_cell_angle_beta 90.29
_cell_angle_gamma 118.31
loop_
_atom_site_label
_atom_site_type_symbol
_atom_site_fract_x
_atom_site_fract_y
_atom_site_fract_z
Al1 Al 0.000 0.000 0.000
Al2 Al 0.005 0.997 0.497
Al3 Al 0.104 0.232 0.876
Al4 Al 0.372 0.741 0.621
Al5 Al 0.651 0.265 0.369
Al6 Al 0.731 0.486 0.743
Al7 Al 0.779 0.518 0.246
Al8 Al 0.889 0.759 0.124
Hg1 Hg 0.009 0.496 0.999
Hg2 Hg 0.095 0.228 0.382
Hg3 Hg 0.121 0.748 0.875
Hg4 Hg 0.207 0.962 0.240
Hg5 Hg 0.235 0.990 0.745
Hg6 Hg 0.236 0.500 0.238
Hg7 Hg 0.253 0.493 0.742
Hg8 Hg 0.329 0.718 0.128
Hg9 Hg 0.389 0.275 0.626
Hg10 Hg 0.423 0.440 0.988
Hg11 Hg 0.455 0.985 0.981
Hg12 Hg 0.504 0.498 0.495
Hg13 Hg 0.535 0.011 0.485
Hg14 Hg 0.561 0.213 0.872
Hg15 Hg 0.671 0.779 0.374
Hg16 Hg 0.713 0.945 0.740
Hg17 Hg 0.784 0.012 0.247
Hg18 Hg 0.839 0.730 0.626
Hg19 Hg 0.913 0.265 0.124
Hg20 Hg 0.992 0.466 0.492
Se1 Se 0.013 0.917 0.411
Se2 Se 0.050 0.657 0.775
Se3 Se 0.065 0.173 0.786
Se4 Se 0.083 0.676 0.286
Se5 Se 0.121 0.203 0.284
Se6 Se 0.192 0.442 0.646
Se7 Se 0.213 0.957 0.145
Se8 Se 0.216 0.919 0.648
Se9 Se 0.264 0.403 0.148
Se10 Se 0.312 0.159 0.035
Se11 Se 0.330 0.167 0.526
Se12 Se 0.345 0.696 0.532
Se13 Se 0.354 0.696 0.030
Se14 Se 0.428 0.437 0.894
Se15 Se 0.478 0.889 0.890
Se16 Se 0.478 0.958 0.389
Se17 Se 0.485 0.429 0.397
Se18 Se 0.591 0.653 0.784
Se19 Se 0.594 0.193 0.773
Se20 Se 0.612 0.677 0.275
Se21 Se 0.614 0.219 0.278
Se22 Se 0.691 0.945 0.645
Se23 Se 0.722 0.922 0.150
Se24 Se 0.736 0.412 0.656
Se25 Se 0.742 0.466 0.156
Se26 Se 0.830 0.160 0.026
Se27 Se 0.840 0.702 0.033
Se28 Se 0.860 0.166 0.534
Se29 Se 0.860 0.701 0.527
Se30 Se 0.944 0.404 0.900
Se31 Se 0.953 0.944 0.911
Se32 Se 0.969 0.461 0.396
```


Entry 2:
# Al2HgSe4
Theoretical powder diffractogram, CuKα. Input: a cell relaxed with PBE.
No peak broadening, texture or thermal motion is included.

Most intense lines, 2θ from 10° to 80°, in order of falling intensity:
hkl 1 1 1, 2θ 27.04, d 3.298, rel. 100; hkl 2 0 2, 2θ 44.11, d 2.053, rel. 50; hkl 1 0 1, 2θ 21.64, d 4.106, rel. 44; hkl 3 1 1, 2θ 54.52, d 1.683, rel. 25; hkl 1 0 2, 2θ 33.45, d 2.679, rel. 22; hkl 2 1 1, 2θ 39.25, d 2.295, rel. 22; hkl 1 0 0, 2θ 16.01, d 5.536, rel. 22; hkl 2 2 0, 2θ 46.39, d 1.957, rel. 21

Structure:
```
data_Al2HgSe4
_space_group_name_H-M_alt 'P -4 2 m'
_space_group_IT_number 111
_space_group_name_Hall 'P -4 2'
_cell_length_a 5.536
_cell_length_b 5.536
_cell_length_c 6.122
_cell_angle_alpha 90.00
_cell_angle_beta 90.00
_cell_angle_gamma 90.00
loop_
_atom_site_label
_atom_site_type_symbol
_atom_site_fract_x
_atom_site_fract_y
_atom_site_fract_z
Al1 Al 0.000 0.500 0.000
Hg1 Hg 0.000 0.000 0.500
Se1 Se 0.276 0.276 0.764
```


Entry 3:
# AlHgSe2
Theoretical powder diffractogram, CuKα. Input: a cell relaxed with PBE.
No peak broadening, texture or thermal motion is included.

Most intense lines, 2θ from 10° to 80°, in order of falling intensity:
hkl 5 1 -2, 2θ 45.64, d 1.988, rel. 100; hkl 3 1 0, 2θ 34.60, d 2.592, rel. 74; hkl 1 1 0, 2θ 15.28, d 5.797, rel. 59; hkl 2 2 -1, 2θ 28.29, d 3.155, rel. 57; hkl 2 2 0, 2θ 30.85, d 2.898, rel. 50; hkl 2 0 -2, 2θ 28.83, d 3.097, rel. 50; hkl 2 0 0, 2θ 21.68, d 4.099, rel. 44; hkl 3 1 -2, 2θ 32.79, d 2.731, rel. 43

Structure:
```
data_AlHgSe2
_space_group_name_H-M_alt 'C 1 2/c 1'
_space_group_IT_number 15
_space_group_name_Hall '-C 2yc'
_cell_length_a 10.262
_cell_length_b 8.202
_cell_length_c 6.194
_cell_angle_alpha 90.00
_cell_angle_beta 127.02
_cell_angle_gamma 90.00
loop_
_atom_site_label
_atom_site_type_symbol
_atom_site_fract_x
_atom_site_fract_y
_atom_site_fract_z
Al1 Al 0.000 0.000 0.250
Hg1 Hg 0.000 0.500 0.000
Se1 Se 0.161 0.161 0.161
```


Entry 4:
# Al2HgSe3
Theoretical powder diffractogram, CuKα. Input: a cell relaxed with PBE.
No peak broadening, texture or thermal motion is included.

Most intense lines, 2θ from 10° to 80°, in order of falling intensity:
hkl 1 1 2, 2θ 29.96, d 2.982, rel. 100; hkl 5 1 -2, 2θ 33.98, d 2.638, rel. 68; hkl 3 1 -2, 2θ 29.80, d 2.998, rel. 61; hkl 1 1 1, 2θ 25.35, d 3.514, rel. 59; hkl 3 1 0, 2θ 26.83, d 3.322, rel. 56; hkl 4 0 -4, 2θ 34.73, d 2.583, rel. 53; hkl 5 1 0, 2θ 32.86, d 2.725, rel. 51; hkl 4 0 2, 2θ 28.98, d 3.082, rel. 50

Structure:
```
data_Al2HgSe3
_space_group_name_H-M_alt 'C 1 2/m 1'
_space_group_IT_number 12
_space_group_name_Hall '-C 2y'
_cell_length_a 19.876
_cell_length_b 3.898
_cell_length_c 10.692
_cell_angle_alpha 90.00
_cell_angle_beta 106.47
_cell_angle_gamma 90.00
loop_
_atom_site_label
_atom_site_type_symbol
_atom_site_fract_x
_atom_site_fract_y
_atom_site_fract_z
Al1 Al 0.046 0.000 0.130
Al2 Al 0.208 0.500 0.375
Hg1 Hg 0.218 0.500 0.087
Se1 Se 0.078 0.000 0.934
Se2 Se 0.083 0.500 0.283
Se3 Se 0.216 0.500 0.616
```


Entry 5:
# Al2HgTeSe6
Theoretical powder diffractogram, CuKα. Input: a cell relaxed with PBE.
No peak broadening, texture or thermal motion is included.

Most intense lines, 2θ from 10° to 80°, in order of falling intensity:
hkl 2 2 0, 2θ 20.53, d 4.326, rel. 100; hkl 1 3 1, 2θ 27.86, d 3.202, rel. 74; hkl 2 2 2, 2θ 35.52, d 2.527, rel. 73; hkl 2 0 0, 2θ 13.78, d 6.425, rel. 69; hkl 0 2 0, 2θ 15.14, d 5.851, rel. 64; hkl 0 2 2, 2θ 29.05, d 3.074, rel. 62; hkl 4 0 -2, 2θ 31.05, d 2.880, rel. 55; hkl 1 3 0, 2θ 23.84, d 3.733, rel. 52

Structure:
```
data_Al2HgTeSe6
_space_group_name_H-M_alt 'C 1 2/c 1'
_space_group_IT_number 15
_space_group_name_Hall '-C 2yc'
_cell_length_a 13.503
_cell_length_b 11.702
_cell_length_c 7.593
_cell_angle_alpha 90.00
_cell_angle_beta 107.88
_cell_angle_gamma 90.00
loop_
_atom_site_label
_atom_site_type_symbol
_atom_site_fract_x
_atom_site_fract_y
_atom_site_fract_z
Al1 Al 0.209 0.082 0.195
Hg1 Hg 0.000 0.272 0.250
Te1 Te 0.000 0.262 0.750
Se1 Se 0.109 0.402 0.622
Se2 Se 0.137 0.045 0.444
Se3 Se 0.149 0.280 0.108
```


Entry 6:
# Sm3AlHg
Theoretical powder diffractogram, CuKα. Input: a cell relaxed with PBE.
No peak broadening, texture or thermal motion is included.

Most intense lines, 2θ from 10° to 80°, in order of falling intensity:
hkl 1 5 1, 2θ 32.77, d 2.733, rel. 100; hkl 2 0 0, 2θ 33.71, d 2.659, rel. 51; hkl 3 5 1, 2θ 59.70, d 1.549, rel. 36; hkl 2 0 2, 2θ 48.41, d 1.880, rel. 18; hkl 2 10 0, 2θ 57.89, d 1.593, rel. 15; hkl 0 2 1, 2θ 18.92, d 4.691, rel. 11; hkl 1 3 0, 2θ 21.42, d 4.148, rel. 11; hkl 2 10 2, 2θ 68.69, d 1.366, rel. 9

Structure:
```
data_Sm3AlHg
_space_group_name_H-M_alt 'C m c m'
_space_group_IT_number 63
_space_group_name_Hall '-C 2c 2'
_cell_length_a 5.316
_cell_length_b 19.894
_cell_length_c 5.320
_cell_angle_alpha 90.00
_cell_angle_beta 90.00
_cell_angle_gamma 90.00
loop_
_atom_site_label
_atom_site_type_symbol
_atom_site_fract_x
_atom_site_fract_y
_atom_site_fract_z
Sm1 Sm 0.000 0.061 0.250
Sm2 Sm 0.000 0.248 0.250
Sm3 Sm 0.000 0.434 0.250
Al1 Al 0.000 0.155 0.750
Hg1 Hg 0.000 0.345 0.750
```


Entry 7:
# Sm12AlHg6
Theoretical powder diffractogram, CuKα. Input: a cell relaxed with PBE.
No peak broadening, texture or thermal motion is included.

Most intense lines, 2θ from 10° to 80°, in order of falling intensity:
hkl 4 1 0, 2θ 34.66, d 2.588, rel. 100; hkl 3 -1 4, 2θ 35.79, d 2.509, rel. 78; hkl 3 -1 1, 2θ 21.14, d 4.203, rel. 68; hkl 1 0 4, 2θ 30.47, d 2.933, rel. 30; hkl 4 -1 2, 2θ 30.94, d 2.890, rel. 28; hkl 2 4 4, 2θ 50.68, d 1.801, rel. 24; hkl 1 1 0, 2θ 12.93, d 6.846, rel. 21; hkl 0 0 3, 2θ 22.02, d 4.037, rel. 21

Structure:
```
data_Sm12AlHg6
_space_group_name_H-M_alt 'R -3'
_space_group_IT_number 148
_space_group_name_Hall '-R 3'
_cell_length_a 13.6929
_cell_length_b 13.6929
_cell_length_c 12.1103
_cell_angle_alpha 90.00
_cell_angle_beta 90.00
_cell_angle_gamma 120.00
loop_
_atom_site_label
_atom_site_type_symbol
_atom_site_fract_x
_atom_site_fract_y
_atom_site_fract_z
Sm1 Sm 0.0325 0.8219 0.3903
Sm2 Sm 0.0446 0.8319 0.8917
Al1 Al 0.0000 0.0000 0.0000
Hg1 Hg 0.0443 0.7823 0.6447
```


Entry 8:
# AlTlSnHg
Theoretical powder diffractogram, CuKα. Input: a cell relaxed with PBE.
No peak broadening, texture or thermal motion is included.

Most intense lines, 2θ from 10° to 80°, in order of falling intensity:
hkl 2 2 0, 2θ 34.03, d 2.634, rel. 100; hkl 4 2 2, 2θ 60.91, d 1.521, rel. 38; hkl 1 1 1, 2θ 20.65, d 4.302, rel. 27; hkl 4 0 0, 2θ 48.89, d 1.863, rel. 18; hkl 3 1 1, 2θ 40.14, d 2.247, rel. 15; hkl 4 4 0, 2θ 71.64, d 1.317, rel. 12; hkl 3 3 1, 2θ 53.61, d 1.709, rel. 7; hkl 5 1 1, 2θ 65.04, d 1.434, rel. 5

Structure:
```
data_AlTlSnHg
_space_group_name_H-M_alt 'F -4 3 m'
_space_group_IT_number 216
_space_group_name_Hall 'F -4 2 3'
_cell_length_a 7.451
_cell_length_b 7.451
_cell_length_c 7.451
_cell_angle_alpha 90.00
_cell_angle_beta 90.00
_cell_angle_gamma 90.00
loop_
_atom_site_label
_atom_site_type_symbol
_atom_site_fract_x
_atom_site_fract_y
_atom_site_fract_z
Al1 Al 0.000 0.000 0.000
Tl1 Tl 0.000 0.000 0.500
Sn1 Sn 0.250 0.250 0.250
Hg1 Hg 0.250 0.250 0.750
```


Entry 9:
# Sr2Al3Hg
Theoretical powder diffractogram, CuKα. Input: a cell relaxed with PBE.
No peak broadening, texture or thermal motion is included.

Most intense lines, 2θ from 10° to 80°, in order of falling intensity:
hkl 1 1 1, 2θ 30.43, d 2.938, rel. 100; hkl 0 0 1, 2θ 10.77, d 8.212, rel. 58; hkl 1 0 2, 2θ 30.30, d 2.950, rel. 50; hkl 0 1 3, 2θ 38.06, d 2.364, rel. 46; hkl 2 1 3, 2θ 58.46, d 1.579, rel. 26; hkl 1 2 2, 2θ 49.66, d 1.836, rel. 25; hkl 0 2 0, 2θ 38.38, d 2.345, rel. 23; hkl 1 0 1, 2θ 23.61, d 3.768, rel. 22

Structure:
```
data_Sr2Al3Hg
_space_group_name_H-M_alt 'P m m 2'
_space_group_IT_number 25
_space_group_name_Hall 'P 2 -2'
_cell_length_a 4.242
_cell_length_b 4.691
_cell_length_c 8.212
_cell_angle_alpha 90.00
_cell_angle_beta 90.00
_cell_angle_gamma 90.00
loop_
_atom_site_label
_atom_site_type_symbol
_atom_site_fract_x
_atom_site_fract_y
_atom_site_fract_z
Sr1 Sr 0.000 0.000 0.000
Sr2 Sr 0.000 0.500 0.498
Al1 Al 0.500 0.000 0.333
Al2 Al 0.500 0.000 0.660
Al3 Al 0.500 0.500 0.170
Hg1 Hg 0.500 0.500 0.832
```


Entry 10:
# Sr6AlHg2
Theoretical powder diffractogram, CuKα. Input: a cell relaxed with PBE.
No peak broadening, texture or thermal motion is included.

Most intense lines, 2θ from 10° to 80°, in order of falling intensity:
hkl 1 3 3, 2θ 28.98, d 3.081, rel. 100; hkl 2 0 0, 2θ 31.36, d 2.852, rel. 50; hkl 3 3 3, 2θ 54.37, d 1.687, rel. 34; hkl 0 2 0, 2θ 12.36, d 7.162, rel. 32; hkl 1 5 3, 2θ 38.55, d 2.336, rel. 29; hkl 2 0 6, 2θ 44.95, d 2.017, rel. 19; hkl 3 5 3, 2θ 60.67, d 1.526, rel. 16; hkl 1 1 1, 2θ 17.51, d 5.064, rel. 14

Structure:
```
data_Sr6AlHg2
_space_group_name_H-M_alt 'F m m m'
_space_group_IT_number 69
_space_group_name_Hall '-F 2 2'
_cell_length_a 5.706
_cell_length_b 14.323
_cell_length_c 17.107
_cell_angle_alpha 90.00
_cell_angle_beta 90.00
_cell_angle_gamma 90.00
loop_
_atom_site_label
_atom_site_type_symbol
_atom_site_fract_x
_atom_site_fract_y
_atom_site_fract_z
Sr1 Sr 0.000 0.134 0.166
Sr2 Sr 0.000 0.135 0.500
Al1 Al 0.000 0.000 0.000
Hg1 Hg 0.000 0.000 0.337
```


Entry 11:
# Sr7Al2Hg2
Theoretical powder diffractogram, CuKα. Input: a cell relaxed with PBE.
No peak broadening, texture or thermal motion is included.

Most intense lines, 2θ from 10° to 80°, in order of falling intensity:
hkl 2 2 2, 2θ 33.39, d 2.684, rel. 100; hkl 1 3 2, 2θ 32.12, d 2.787, rel. 71; hkl 0 0 1, 2θ 10.63, d 8.325, rel. 69; hkl 2 0 1, 2θ 23.57, d 3.774, rel. 66; hkl 1 3 1, 2θ 26.05, d 3.421, rel. 49; hkl 2 0 2, 2θ 30.11, d 2.968, rel. 44; hkl 0 4 0, 2θ 28.43, d 3.139, rel. 44; hkl 0 2 0, 2θ 14.11, d 6.279, rel. 42

Structure:
```
data_Sr7Al2Hg2
_space_group_name_H-M_alt 'C m m m'
_space_group_IT_number 65
_space_group_name_Hall '-C 2 2'
_cell_length_a 8.469
_cell_length_b 12.557
_cell_length_c 8.325
_cell_angle_alpha 90.00
_cell_angle_beta 90.00
_cell_angle_gamma 90.00
loop_
_atom_site_label
_atom_site_type_symbol
_atom_site_fract_x
_atom_site_fract_y
_atom_site_fract_z
Sr1 Sr 0.000 0.000 0.000
Sr2 Sr 0.000 0.500 0.264
Sr3 Sr 0.250 0.250 0.281
Al1 Al 0.155 0.000 0.500
Hg1 Hg 0.000 0.298 0.000
```


Entry 12:
# TaAlHg
Theoretical powder diffractogram, CuKα. Input: a cell relaxed with PBE.
No peak broadening, texture or thermal motion is included.

Most intense lines, 2θ from 10° to 80°, in order of falling intensity:
hkl 0 1 1, 2θ 36.69, d 2.449, rel. 100; hkl 1 0 2, 2θ 42.88, d 2.109, rel. 59; hkl 0 0 1, 2θ 12.32, d 7.184, rel. 44; hkl 0 0 3, 2θ 37.56, d 2.395, rel. 25; hkl 0 1 4, 2θ 62.85, d 1.479, rel. 23; hkl 1 1 3, 2θ 74.49, d 1.274, rel. 21; hkl 1 1 0, 2θ 61.66, d 1.504, rel. 19; hkl 0 0 2, 2θ 24.79, d 3.592, rel. 18

Structure:
```
data_TaAlHg
_space_group_name_H-M_alt 'P 3 m 1'
_space_group_IT_number 156
_space_group_name_Hall 'P 3 -2"'
_cell_length_a 3.0086
_cell_length_b 3.0086
_cell_length_c 7.1838
_cell_angle_alpha 90.00
_cell_angle_beta 90.00
_cell_angle_gamma 120.00
loop_
_atom_site_label
_atom_site_type_symbol
_atom_site_fract_x
_atom_site_fract_y
_atom_site_fract_z
Ta1 Ta 0.0000 0.0000 0.0000
Al1 Al 0.3333 0.6667 0.3098
Hg1 Hg 0.6667 0.3333 0.6489
```